(1)
For Nb2NiB2Ru5, the PBE geometry in Alexandria gives the computed powder X-ray diffraction pattern in this record (Cu Kα, 1.54184 Å).

Principal peaks in the range 15° ≤ 2θ ≤ 90°, low angle first:
2θ 37.0, rel. 67.7
2θ 40.1, rel. 85.8
2θ 40.8, rel. 29.5
2θ 43.2, rel. 100.0
2θ 43.7, rel. 36.4
2θ 46.6, rel. 38.6

Structure:
Lattice parameters (Å, degrees): 9.261 9.261 2.997 90.00 90.00 90.00
Positions (direct):
Nb1 0.177 0.323 0.000
Nb2 0.323 0.823 0.000
Nb3 0.677 0.177 0.000
Nb4 0.823 0.677 0.000
Ni1 0.000 0.000 0.000
Ni2 0.500 0.500 0.000
B1 0.125 0.625 0.000
B2 0.375 0.125 0.000
B3 0.625 0.875 0.000
B4 0.875 0.375 0.000
Ru1 0.000 0.500 0.500
Ru2 0.072 0.787 0.500
Ru3 0.213 0.072 0.500
Ru4 0.287 0.572 0.500
Ru5 0.428 0.287 0.500
Ru6 0.500 0.000 0.500
Ru7 0.572 0.713 0.500
Ru8 0.713 0.428 0.500
Ru9 0.787 0.928 0.500
Ru10 0.928 0.213 0.500

***

(2)
For NbB2O, the PBE geometry in Alexandria gives the computed powder X-ray diffraction pattern in this record (Cu Kα, 1.54184 Å).

Principal peaks in the range 15° ≤ 2θ ≤ 90°, low angle first:
2θ 22.6, rel. 77.1
2θ 35.1, rel. 53.0
2θ 38.3, rel. 100.0
2θ 42.1, rel. 45.4
2θ 50.5, rel. 22.4
2θ 65.1, rel. 37.5

Structure:
Lattice parameters (Å, degrees): 4.759 4.759 4.759 115.00 115.00 98.91
Positions (direct):
Nb1 0.000 0.000 0.000
Nb2 0.750 0.250 0.500
B1 0.233 0.625 0.108
B2 0.375 0.483 0.608
B3 0.517 0.125 0.892
B4 0.875 0.767 0.392
O1 0.250 0.750 0.500
O2 0.500 0.500 0.000

***

What did the second record say?
For NbB2O, the PBE geometry in Alexandria gives the computed powder X-ray diffraction pattern in this record (Cu Kα, 1.54184 Å).

Principal peaks in the range 15° ≤ 2θ ≤ 90°, low angle first:
2θ 22.6, rel. 77.1
2θ 35.1, rel. 53.0
2θ 38.3, rel. 100.0
2θ 42.1, rel. 45.4
2θ 50.5, rel. 22.4
2θ 65.1, rel. 37.5

Structure:
Lattice parameters (Å, degrees): 4.759 4.759 4.759 115.00 115.00 98.91
Positions (direct):
Nb1 0.000 0.000 0.000
Nb2 0.750 0.250 0.500
B1 0.233 0.625 0.108
B2 0.375 0.483 0.608
B3 0.517 0.125 0.892
B4 0.875 0.767 0.392
O1 0.250 0.750 0.500
O2 0.500 0.500 0.000